Structure and calculated powder diffractogram of ZnIn12Hg7 (a structure optimized by DFT (PBE); λ = 1.5418 Å (Cu Kα)).
Lines closer than 0.1° are merged.

Main lines, in order of falling intensity (2θ = 15–90°):
2theta	I_rel
33.8	100.0
34.5	99.2
30.4	78.6
33.5	76.2
31.2	50.1
36.9	35.8
60.3	31.0
61.1	28.7

Cell and atoms:
```
ZnIn12Hg7
1.0
6.137 3.543 4.076
-6.137 3.543 4.076
0.000 -7.087 4.076
Zn In Hg
1 12 7
Cartesian
0.000 0.000 0.000
-1.592 -4.330 4.076
-4.545 0.786 4.076
-2.704 -1.561 5.588
1.592 -4.330 4.076
-2.954 3.543 4.076
0.000 -3.122 6.641
-2.704 1.561 6.641
2.704 -1.561 5.588
0.000 3.122 5.588
4.545 0.786 4.076
2.954 3.543 4.076
2.704 1.561 6.641
0.000 -1.814 2.800
-1.571 0.907 2.800
1.571 0.907 2.800
0.000 0.000 6.115
-1.571 -0.907 9.429
1.571 -0.907 9.429
0.000 1.814 9.429
```

Structure and calculated powder diffractogram of ZnInHg6 (a structure optimized by DFT (PBE); λ = 1.5418 Å (Cu Kα)).
Lines closer than 0.1° are merged.

Main lines, in order of falling intensity (2θ = 15–90°):
2theta	I_rel
32.3	100.0
36.2	92.0
27.8	87.6
30.9	68.7
42.0	58.4
38.0	51.2
38.3	39.7
33.4	38.2

Cell and atoms:
```
ZnInHg6
1.0
4.616 -6.426 0.000
4.616 6.426 0.000
0.000 0.000 7.414
Zn In Hg
2 2 12
Cartesian
2.308 0.000 0.000
6.924 0.000 0.000
4.616 3.213 4.209
4.616 -3.213 3.205
1.742 1.567 5.173
4.616 4.762 6.908
2.874 1.567 2.241
1.742 -1.567 2.241
4.616 1.664 6.908
2.874 -1.567 5.173
6.359 1.567 2.241
4.616 -1.664 0.506
7.490 1.567 5.173
6.359 -1.567 5.173
4.616 -4.762 0.506
7.490 -1.567 2.241
```

Repeat the first record exactly.
Structure and calculated powder diffractogram of ZnIn12Hg7 (a structure optimized by DFT (PBE); λ = 1.5418 Å (Cu Kα)).
Lines closer than 0.1° are merged.

Main lines, in order of falling intensity (2θ = 15–90°):
2theta	I_rel
33.8	100.0
34.5	99.2
30.4	78.6
33.5	76.2
31.2	50.1
36.9	35.8
60.3	31.0
61.1	28.7

Cell and atoms:
```
ZnIn12Hg7
1.0
6.137 3.543 4.076
-6.137 3.543 4.076
0.000 -7.087 4.076
Zn In Hg
1 12 7
Cartesian
0.000 0.000 0.000
-1.592 -4.330 4.076
-4.545 0.786 4.076
-2.704 -1.561 5.588
1.592 -4.330 4.076
-2.954 3.543 4.076
0.000 -3.122 6.641
-2.704 1.561 6.641
2.704 -1.561 5.588
0.000 3.122 5.588
4.545 0.786 4.076
2.954 3.543 4.076
2.704 1.561 6.641
0.000 -1.814 2.800
-1.571 0.907 2.800
1.571 0.907 2.800
0.000 0.000 6.115
-1.571 -0.907 9.429
1.571 -0.907 9.429
0.000 1.814 9.429
```